# 1
Theoretical powder X-ray diffraction pattern of RbTi2AsO6 for Cu Kα (weighted mean of Kα1 and Kα2), from a cell relaxed with GGA-PBE.
Intensities are scaled so that the largest is 100.

Cell and atoms:
Cell lengths 11.349, 10.562, 6.308 Å; angles 90.00, 109.23, 90.00 degrees
Space group C2/c (No. 15)
Inequivalent atoms, fractional coordinates:
1 Rb 0.000 0.110 0.250 [4 per cell]
2 Ti 0.240 0.406 0.195 [8 per cell]
3 As 0.000 0.292 0.750 [4 per cell]
4 O 0.105 0.176 0.699 [8 per cell]
5 O 0.115 0.299 0.091 [8 per cell]
6 O 0.238 0.493 0.454 [8 per cell]

Top 8 peaks for 2θ = 15–90°, sorted by position:
index	d_spacing	intensity
1 1 -1	5.302	18.0
2 2 0	3.761	36.7
2 2 -1	3.575	100.0
0 0 2	2.978	28.7
2 2 1	2.893	31.6
1 3 1	2.796	21.9
4 0 0	2.679	22.2
3 3 -1	2.530	18.0

---

# 2
Theoretical powder X-ray diffraction pattern of Co4CuS8 for Cu Kα (weighted mean of Kα1 and Kα2), from a cell relaxed with GGA-PBE.
Intensities are scaled so that the largest is 100.

Cell and atoms:
Cell lengths 9.429, 9.429, 9.429 Å; angles 90.00, 90.00, 90.00 degrees
Space group F-43m (No. 216)
Inequivalent atoms, fractional coordinates:
1 Co 0.122 0.122 0.378 [16 per cell]
2 Cu 0.000 0.000 0.000 [4 per cell]
3 S 0.113 0.113 0.613 [16 per cell]
4 S 0.137 0.137 0.137 [16 per cell]

Top 8 peaks for 2θ = 15–90°, sorted by position:
index	d_spacing	intensity
1 1 1	5.444	81.1
2 0 0	4.715	18.6
3 1 1	2.843	100.0
4 0 0	2.357	92.4
5 1 1	1.815	56.0
4 4 0	1.667	97.7
4 4 4	1.361	16.7
5 5 3	1.228	16.3

---

# 3
Theoretical powder X-ray diffraction pattern of Sr2TaPb for Cu Kα (weighted mean of Kα1 and Kα2), from a cell relaxed with GGA-PBE.
Intensities are scaled so that the largest is 100.

Cell and atoms:
Cell lengths 5.053, 5.053, 4.862 Å; angles 90.00, 90.00, 90.00 degrees
Space group P4/mmm (No. 123)
Inequivalent atoms, fractional coordinates:
1 Sr 0.000 0.500 0.000 [2 per cell]
2 Ta 0.000 0.000 0.500 [1 per cell]
3 Pb 0.500 0.500 0.500 [1 per cell]

Top 8 peaks for 2θ = 15–90°, sorted by position:
index	d_spacing	intensity
1 1 1	2.879	100.0
2 0 0	2.526	35.1
0 0 2	2.431	15.7
2 2 0	1.786	12.5
2 0 2	1.752	23.5
3 1 1	1.518	29.5
1 1 3	1.476	13.5
2 2 2	1.440	12.4

---

# 4
Theoretical powder X-ray diffraction pattern of PrSm4Ho for Cu Kα (weighted mean of Kα1 and Kα2), from a cell relaxed with GGA-PBE.
Intensities are scaled so that the largest is 100.

Cell and atoms:
Cell lengths 5.137, 15.405, 5.114 Å; angles 90.00, 90.00, 90.00 degrees
Space group Cmmm (No. 65)
Inequivalent atoms, fractional coordinates:
1 Pr 0.000 0.000 0.000 [2 per cell]
2 Sm 0.000 0.167 0.500 [4 per cell]
3 Sm 0.000 0.334 0.000 [4 per cell]
4 Ho 0.000 0.500 0.500 [2 per cell]

Top 8 peaks for 2θ = 15–90°, sorted by position:
index	d_spacing	intensity
1 3 1	2.961	100.0
2 0 0	2.568	33.9
0 0 2	2.557	16.8
2 6 0	1.816	12.1
2 0 2	1.812	24.1
3 3 1	1.548	28.9
1 3 3	1.543	14.3
2 6 2	1.480	12.4